LiCoSnO4: simulated powder XRD pattern (Cu Kα (weighted mean of Kα1 and Kα2)), based on a DFT-relaxed cell (GGA+U, Alexandria).

Structure:
abc: 6.076 6.076 8.625
angles: 90.00 90.00 90.00
Space group P4_322 (No. 95)
Unique sites:
Li (0.000, 0.217, 0.000) (multiplicity 4)
Co (0.245, 0.245, 0.625) (multiplicity 4)
Sn (0.231, 0.500, 0.250) (multiplicity 4)
O (0.004, 0.256, 0.750) (multiplicity 8)
O (0.257, 0.483, 0.008) (multiplicity 8)

The 12 most intense peaks (10° ≤ 2θ ≤ 80°), in order of rising 2θ:
6.076 Å, rel. 29, (1 0 0); 3.846 Å, rel. 58, (1 1 1); 3.517 Å, rel. 29, (1 0 2); 3.042 Å, rel. 26, (1 1 2); 2.717 Å, rel. 12, (2 1 0); 2.594 Å, rel. 100, (2 1 1); 2.389 Å, rel. 14, (1 1 3); 2.148 Å, rel. 13, (2 2 0); 1.875 Å, rel. 14, (3 1 1); 1.654 Å, rel. 24, (3 2 1); 1.522 Å, rel. 32, (2 2 4); 1.519 Å, rel. 15, (4 0 0)